Diffraction record for HgBi4Te7. The powder diffractogram is simulated, not measured: it uses the PBE geometry in Alexandria and λ = 1.5418 Å (Cu Kα).

Cell and atoms:
Cell lengths 4.4548, 4.4548, 24.4142 Å; angles 90.00, 90.00, 120.00 degrees
Positions (direct):
Hg1 0.0000 0.0000 0.0000
Bi1 0.3333 0.6667 0.1535
Bi2 0.3333 0.6667 0.4162
Bi3 0.6667 0.3333 0.5838
Bi4 0.6667 0.3333 0.8465
Te1 0.0000 0.0000 0.2238
Te2 0.0000 0.0000 0.5000
Te3 0.0000 0.0000 0.7762
Te4 0.3333 0.6667 0.6544
Te5 0.3333 0.6667 0.9298
Te6 0.6667 0.3333 0.0702
Te7 0.6667 0.3333 0.3456

Most intense lines, 2θ from 15° to 90°, in order of rising 2θ:
2θ 27.35, I = 100, (1 0 4)
2θ 37.58, I = 34, (0 1 8)
2θ 40.50, I = 39, (1 1 0)
2θ 43.89, I = 9, (0 1 10)
2θ 49.56, I = 20, (0 2 4)
2θ 56.43, I = 10, (2 0 8)
2θ 61.75, I = 9, (1 1 12)
2θ 65.85, I = 19, (2 1 4)
2θ 68.32, I = 10, (1 1 14)
2θ 71.74, I = 10, (1 2 8)